(1)
For SbP4O12, a cell relaxed with PBE gives the simulated X-ray powder pattern in this record (Cu Kα X-rays).
Peak positions follow from Bragg's law for the DFT cell and can differ from measured ones.

Crystal structure
a = 7.4852 Å, b = 7.4852 Å, c = 10.3036 Å
α = 112.59°, β = 112.59°, γ = 69.77°
Atoms (fractional coordinates):
Sb1 0.0000 0.5000 0.0000
Sb2 0.5000 0.0000 0.5000
P1 0.1765 0.1878 0.6897
P2 0.1878 0.1765 0.1897
P3 0.2282 0.7552 0.5275
P4 0.2448 0.7718 0.9725
P5 0.7552 0.2282 0.0275
P6 0.7718 0.2448 0.4725
P7 0.8122 0.8235 0.8103
P8 0.8235 0.8122 0.3103
O1 0.0054 0.7226 0.4291
O2 0.0363 0.8295 0.8443
O3 0.1623 0.2999 0.8441
O4 0.1705 0.9637 0.6557
O5 0.1819 0.7026 0.0692
O6 0.1962 0.3643 0.1684
O7 0.2774 0.9946 0.0709
O8 0.2974 0.8181 0.4308
O9 0.2999 0.1623 0.3441
O10 0.3418 0.5907 0.5907
O11 0.3643 0.1962 0.6684
O12 0.4093 0.6582 0.9093
O13 0.5907 0.3418 0.0907
O14 0.6357 0.8038 0.3316
O15 0.6582 0.4093 0.4093
O16 0.7001 0.8377 0.6559
O17 0.7026 0.1819 0.5692
O18 0.7226 0.0054 0.9291
O19 0.8038 0.6357 0.8316
O20 0.8181 0.2974 0.9308
O21 0.8295 0.0363 0.3443
O22 0.8377 0.7001 0.1559
O23 0.9637 0.1705 0.1557
O24 0.9946 0.2774 0.5709

The 10 most intense peaks (10° ≤ 2θ ≤ 90°), sorted by position:
| 2θ/deg | I (rel.) |
| --- | --- |
| 13.17 | 21 |
| 13.92 | 89 |
| 18.54 | 73 |
| 19.50 | 37 |
| 24.16 | 61 |
| 28.06 | 24 |
| 28.62 | 100 |
| 30.09 | 33 |
| 36.26 | 21 |
| 39.33 | 27 |

---

(2)
For Na2GaCuF6, a cell relaxed with PBE gives the simulated X-ray powder pattern in this record (Cu Kα X-rays).
Peak positions follow from Bragg's law for the DFT cell and can differ from measured ones.

Crystal structure
a = 5.7838 Å, b = 5.7838 Å, c = 5.7838 Å
α = 60.00°, β = 60.00°, γ = 60.00°
Atoms (fractional coordinates):
Na1 0.2500 0.2500 0.2500
Na2 0.7500 0.7500 0.7500
Ga1 0.0000 0.0000 0.0000
Cu1 0.5000 0.5000 0.5000
F1 0.2355 0.2355 0.7645
F2 0.2355 0.7645 0.2355
F3 0.2355 0.7645 0.7645
F4 0.7645 0.2355 0.2355
F5 0.7645 0.2355 0.7645
F6 0.7645 0.7645 0.2355

The 10 most intense peaks (10° ≤ 2θ ≤ 90°), sorted by position:
| 2θ/deg | I (rel.) |
| --- | --- |
| 21.73 | 96 |
| 30.92 | 100 |
| 44.30 | 71 |
| 49.86 | 36 |
| 55.00 | 38 |
| 64.44 | 38 |
| 68.87 | 15 |
| 73.18 | 17 |
| 81.53 | 11 |
| 89.71 | 19 |

---

(3)
For Y3Mg, a cell relaxed with PBE gives the simulated X-ray powder pattern in this record (Cu Kα X-rays).
Peak positions follow from Bragg's law for the DFT cell and can differ from measured ones.

Crystal structure
a = 4.9459 Å, b = 4.9459 Å, c = 4.9459 Å
α = 90.00°, β = 90.00°, γ = 90.00°
Atoms (fractional coordinates):
Y1 0.0000 0.0000 0.5000
Y2 0.0000 0.5000 0.0000
Y3 0.5000 0.0000 0.0000
Mg1 0.5000 0.5000 0.5000

The 10 most intense peaks (10° ≤ 2θ ≤ 90°), sorted by position:
| 2θ/deg | I (rel.) |
| --- | --- |
| 17.93 | 14 |
| 25.47 | 12 |
| 31.33 | 100 |
| 36.33 | 50 |
| 40.80 | 7 |
| 52.32 | 34 |
| 62.26 | 39 |
| 65.36 | 11 |
| 85.60 | 16 |
| 88.39 | 15 |

---

(4)
For CeN2, a cell relaxed with PBE gives the simulated X-ray powder pattern in this record (Cu Kα X-rays).
Peak positions follow from Bragg's law for the DFT cell and can differ from measured ones.

Crystal structure
a = 6.3948 Å, b = 6.3948 Å, c = 5.9075 Å
α = 114.91°, β = 114.91°, γ = 43.82°
Atoms (fractional coordinates):
Ce1 0.0000 0.0000 0.0000
Ce2 0.5756 0.5756 0.6181
Ce3 0.7944 0.7944 0.3662
N1 0.0130 0.0130 0.6292
N2 0.2290 0.2290 0.2846
N3 0.3449 0.3449 0.3995
N4 0.5492 0.5492 0.2017
N5 0.5603 0.5603 0.9934
N6 0.7931 0.7931 0.7348

The 10 most intense peaks (10° ≤ 2θ ≤ 90°), sorted by position:
| 2θ/deg | I (rel.) |
| --- | --- |
| 20.42 | 88 |
| 23.98 | 40 |
| 28.86 | 54 |
| 28.97 | 80 |
| 29.84 | 100 |
| 30.30 | 81 |
| 33.91 | 39 |
| 37.70 | 58 |
| 47.00 | 47 |
| 49.08 | 58 |

---

(5)
For Nd3Sb5Pd6, a cell relaxed with PBE gives the simulated X-ray powder pattern in this record (Cu Kα X-rays).
Peak positions follow from Bragg's law for the DFT cell and can differ from measured ones.

Crystal structure
a = 4.4944 Å, b = 13.5918 Å, c = 10.1262 Å
α = 90.00°, β = 90.00°, γ = 90.00°
Atoms (fractional coordinates):
Nd1 0.2500 0.0735 0.2450
Nd2 0.2500 0.4265 0.2450
Nd3 0.2500 0.7500 0.2434
Nd4 0.7500 0.2500 0.7566
Nd5 0.7500 0.5735 0.7550
Nd6 0.7500 0.9265 0.7550
Sb1 0.2500 0.0873 0.8628
Sb2 0.2500 0.4127 0.8628
Sb3 0.2500 0.6236 0.5238
Sb4 0.2500 0.7500 0.8269
Sb5 0.2500 0.8764 0.5238
Sb6 0.7500 0.1236 0.4762
Sb7 0.7500 0.2500 0.1731
Sb8 0.7500 0.3764 0.4762
Sb9 0.7500 0.5873 0.1372
Sb10 0.7500 0.9127 0.1372
Pd1 0.2500 0.0678 0.6027
Pd2 0.2500 0.2500 0.0185
Pd3 0.2500 0.2500 0.4725
Pd4 0.2500 0.4322 0.6027
Pd5 0.2500 0.5900 0.9903
Pd6 0.2500 0.9100 0.9903
Pd7 0.7500 0.0900 0.0097
Pd8 0.7500 0.4100 0.0097
Pd9 0.7500 0.5678 0.3973
Pd10 0.7500 0.7500 0.5275
Pd11 0.7500 0.7500 0.9815
Pd12 0.7500 0.9322 0.3973

The 10 most intense peaks (10° ≤ 2θ ≤ 90°), sorted by position:
| 2θ/deg | I (rel.) |
| --- | --- |
| 27.96 | 7 |
| 33.18 | 100 |
| 39.79 | 22 |
| 40.13 | 25 |
| 45.75 | 7 |
| 49.31 | 10 |
| 52.96 | 8 |
| 57.79 | 11 |
| 65.18 | 7 |
| 68.52 | 10 |